1.
Ac2La2CoHg2: simulated powder diffractogram (λ = 1.5418 Å (Cu Kα)), based on a cell relaxed with PBE.

Crystal structure
Lattice parameters (Å, degrees): 4.0977 7.5720 8.1431 110.30 104.29 90.30
Space group P-1 (No. 2)
Asymmetric unit:
Ac: 0.2063 0.1944 0.4071 (multiplicity 2)
La: 0.4766 0.2209 0.9557 (multiplicity 2)
Co: 0.0000 0.0000 0.0000 (multiplicity 1)
Hg: 0.1196 0.5618 0.2439 (multiplicity 2)

Most intense lines, 10 to 80 degrees two-theta, by angle:
| d_spacing | Position (°2θ) | I/Imax |
| --- | --- | --- |
| 3.755 | 23.70 | 33 |
| 3.313 | 26.91 | 52 |
| 3.184 | 28.02 | 60 |
| 3.146 | 28.37 | 100 |
| 2.870 | 31.16 | 71 |
| 2.775 | 32.26 | 47 |
| 2.762 | 32.41 | 45 |
| 2.504 | 35.86 | 26 |
| 2.491 | 36.05 | 25 |
| 2.049 | 44.21 | 33 |

2.
Ba2SrNiH6: simulated powder diffractogram (λ = 1.5418 Å (Cu Kα)), based on a cell relaxed with PBE.

Crystal structure
Lattice parameters (Å, degrees): 5.6917 5.6917 6.3058 90.00 90.00 120.00
Space group P-3m1 (No. 164)
Asymmetric unit:
Ba: 0.3333 0.6667 0.3580 (multiplicity 2)
Sr: 0.0000 0.0000 0.0000 (multiplicity 1)
Ni: 0.0000 0.0000 0.5000 (multiplicity 1)
H: 0.1388 0.2775 0.6584 (multiplicity 6)

Most intense lines, 10 to 80 degrees two-theta, by angle:
| d_spacing | Position (°2θ) | I/Imax |
| --- | --- | --- |
| 6.306 | 14.04 | 28 |
| 3.883 | 22.90 | 100 |
| 2.846 | 31.44 | 93 |
| 2.656 | 33.75 | 73 |
| 2.594 | 34.58 | 17 |
| 2.295 | 39.25 | 26 |
| 1.942 | 46.78 | 30 |
| 1.787 | 51.12 | 23 |
| 1.643 | 55.97 | 18 |
| 1.604 | 57.45 | 31 |

3.
Ca2PmIr9: simulated powder diffractogram (λ = 1.5418 Å (Cu Kα)), based on a cell relaxed with PBE.

Crystal structure
Lattice parameters (Å, degrees): 5.3513 5.3513 26.2105 90.00 90.00 120.00
Space group R-3m (No. 166, hexagonal axes)
Asymmetric unit:
Ca: 0.0000 0.0000 0.1414 (multiplicity 6)
Pm: 0.0000 0.0000 0.0000 (multiplicity 3)
Ir: 0.0000 0.0000 0.3328 (multiplicity 6)
Ir: 0.0000 0.0000 0.5000 (multiplicity 3)
Ir: 0.0019 0.5009 0.0816 (multiplicity 18)

Most intense lines, 10 to 80 degrees two-theta, by angle:
| d_spacing | Position (°2θ) | I/Imax |
| --- | --- | --- |
| 8.737 | 10.12 | 23 |
| 4.564 | 19.45 | 49 |
| 2.675 | 33.49 | 17 |
| 2.308 | 39.02 | 22 |
| 2.282 | 39.49 | 100 |
| 2.184 | 41.33 | 37 |
| 2.119 | 42.66 | 48 |
| 1.970 | 46.07 | 34 |
| 1.456 | 63.92 | 28 |
| 1.338 | 70.37 | 22 |

4.
Ac2GaB3Pt12: simulated powder diffractogram (λ = 1.5418 Å (Cu Kα)), based on a cell relaxed with PBE.

Crystal structure
Lattice parameters (Å, degrees): 7.9518 7.9518 18.1615 90.00 90.00 120.00
Space group R-3m (No. 166, hexagonal axes)
Asymmetric unit:
Ac: 0.0000 0.0000 0.1101 (multiplicity 6)
Ga: 0.0000 0.0000 0.5000 (multiplicity 3)
B: 0.0000 0.5000 0.0000 (multiplicity 9)
Pt: 0.0080 0.5040 0.1167 (multiplicity 18)
Pt: 0.0612 0.5306 0.3543 (multiplicity 18)

Most intense lines, 10 to 80 degrees two-theta, by angle:
| d_spacing | Position (°2θ) | I/Imax |
| --- | --- | --- |
| 2.744 | 32.64 | 100 |
| 2.576 | 34.82 | 12 |
| 2.500 | 35.92 | 37 |
| 1.988 | 45.64 | 43 |
| 1.895 | 48.00 | 25 |
| 1.610 | 57.23 | 13 |
| 1.416 | 65.96 | 16 |
| 1.372 | 68.36 | 12 |
| 1.295 | 73.10 | 11 |
| 1.251 | 76.08 | 10 |

5.
Ac2La5Ho4: simulated powder diffractogram (λ = 1.5418 Å (Cu Kα)), based on a cell relaxed with PBE.

Crystal structure
Lattice parameters (Å, degrees): 24.2971 3.7428 9.0711 90.00 105.35 90.00
Space group C2/m (No. 12)
Asymmetric unit:
Ac: 0.0872 0.0000 0.2153 (multiplicity 4)
La: 0.0000 0.0000 0.5000 (multiplicity 2)
La: 0.1378 0.5000 0.5955 (multiplicity 4)
La: 0.2266 0.5000 0.3107 (multiplicity 4)
Ho: 0.0501 0.5000 0.8570 (multiplicity 4)
Ho: 0.1826 0.0000 0.9531 (multiplicity 4)

Most intense lines, 10 to 80 degrees two-theta, by angle:
| d_spacing | Position (°2θ) | I/Imax |
| --- | --- | --- |
| 3.033 | 29.45 | 100 |
| 3.023 | 29.55 | 33 |
| 2.641 | 33.94 | 46 |
| 2.592 | 34.61 | 21 |
| 1.871 | 48.65 | 8 |
| 1.850 | 49.26 | 32 |
| 1.592 | 57.94 | 20 |
| 1.588 | 58.08 | 19 |
| 1.569 | 58.87 | 14 |
| 1.202 | 79.82 | 11 |

6.
PrBeZn: simulated powder diffractogram (λ = 1.5418 Å (Cu Kα)), based on a cell relaxed with PBE.

Crystal structure
Lattice parameters (Å, degrees): 6.2633 6.2633 6.2633 90.00 90.00 90.00
Space group P2_13 (No. 198)
Asymmetric unit:
Pr: 0.1539 0.1539 0.1539 (multiplicity 4)
Be: 0.0709 0.5709 0.9291 (multiplicity 4)
Zn: 0.1573 0.3427 0.6573 (multiplicity 4)

Most intense lines, 10 to 80 degrees two-theta, by angle:
| d_spacing | Position (°2θ) | I/Imax |
| --- | --- | --- |
| 4.429 | 20.05 | 10 |
| 3.616 | 24.62 | 12 |
| 3.132 | 28.50 | 13 |
| 2.801 | 31.95 | 100 |
| 2.557 | 35.09 | 50 |
| 2.088 | 43.34 | 12 |
| 1.888 | 48.19 | 11 |
| 1.674 | 54.84 | 40 |
| 1.437 | 64.89 | 12 |
| 1.367 | 68.67 | 13 |

7.
LiSmCuGe2: simulated powder diffractogram (λ = 1.5418 Å (Cu Kα)), based on a cell relaxed with PBE.

Crystal structure
Lattice parameters (Å, degrees): 4.1085 4.1085 10.6027 90.00 90.00 90.00
Space group I-4m2 (No. 119)
Asymmetric unit:
Li: 0.0000 0.0000 0.0000 (multiplicity 2)
Sm: 0.0000 0.5000 0.7500 (multiplicity 2)
Cu: 0.0000 0.0000 0.5000 (multiplicity 2)
Ge: 0.0000 0.5000 0.1322 (multiplicity 4)

Most intense lines, 10 to 80 degrees two-theta, by angle:
| d_spacing | Position (°2θ) | I/Imax |
| --- | --- | --- |
| 5.301 | 16.72 | 17 |
| 3.831 | 23.22 | 23 |
| 2.905 | 30.78 | 51 |
| 2.679 | 33.44 | 100 |
| 2.548 | 35.23 | 79 |
| 2.054 | 44.08 | 52 |
| 1.884 | 48.30 | 46 |
| 1.630 | 56.44 | 44 |
| 1.453 | 64.11 | 17 |
| 1.389 | 67.45 | 33 |

8.
LiLaCe2Pb4: simulated powder diffractogram (λ = 1.5418 Å (Cu Kα)), based on a cell relaxed with PBE.

Crystal structure
Lattice parameters (Å, degrees): 5.3379 5.3379 29.0188 90.00 90.00 120.00
Space group R-3m (No. 166, hexagonal axes)
Asymmetric unit:
Li: 0.0000 0.0000 0.0000 (multiplicity 3)
La: 0.0000 0.0000 0.5000 (multiplicity 3)
Ce: 0.0000 0.0000 0.2612 (multiplicity 6)
Pb: 0.0000 0.0000 0.1206 (multiplicity 6)
Pb: 0.0000 0.0000 0.3730 (multiplicity 6)

Most intense lines, 10 to 80 degrees two-theta, by angle:
| d_spacing | Position (°2θ) | I/Imax |
| --- | --- | --- |
| 3.899 | 22.81 | 25 |
| 2.854 | 31.35 | 100 |
| 2.669 | 33.58 | 92 |
| 1.949 | 46.59 | 34 |
| 1.688 | 54.34 | 17 |
| 1.574 | 58.65 | 35 |
| 1.541 | 60.04 | 18 |
| 1.335 | 70.58 | 11 |
| 1.258 | 75.56 | 13 |
| 1.209 | 79.24 | 16 |